1.
Computed X-ray powder pattern of MnCoP for Cu Kα, 1.54184 Å, from DFT lattice parameters and positions (GGA-PBE).
No peak broadening, texture or thermal motion is included.

Principal peaks in the range 10° ≤ 2θ ≤ 80°, by angle:
2θ = 40.28°, rel. 449; 2θ = 40.61°, rel. 1000; 2θ = 42.59°, rel. 719; 2θ = 48.39°, rel. 310; 2θ = 48.69°, rel. 297; 2θ = 53.04°, rel. 381

Cell and atoms:
Unit cell a=5.8819 b=3.4534 c=6.6733 alpha=90.00 beta=90.00 gamma=90.00
Positions (direct):
Mn (0.0279, 0.2500, 0.1676)
Mn (0.4721, 0.7500, 0.6676)
Mn (0.5279, 0.2500, 0.3324)
Mn (0.9721, 0.7500, 0.8324)
Co (0.1423, 0.2500, 0.5652)
Co (0.3577, 0.7500, 0.0652)
Co (0.6423, 0.2500, 0.9348)
Co (0.8577, 0.7500, 0.4348)
P (0.2338, 0.7500, 0.3741)
P (0.2662, 0.2500, 0.8741)
P (0.7338, 0.7500, 0.1259)
P (0.7662, 0.2500, 0.6259)

=====

2.
Computed X-ray powder pattern of PrMn5Co7 for Cu Kα, 1.54184 Å, from DFT lattice parameters and positions (GGA-PBE).
No peak broadening, texture or thermal motion is included.

Principal peaks in the range 10° ≤ 2θ ≤ 80°, by angle:
2θ = 30.70°, rel. 368; 2θ = 42.82°, rel. 323; 2θ = 43.03°, rel. 313; 2θ = 43.45°, rel. 1000; 2θ = 44.99°, rel. 665; 2θ = 50.18°, rel. 276

Cell and atoms:
Unit cell a=6.3857 b=6.3857 c=6.3857 alpha=137.88 beta=97.18 gamma=97.66
Positions (direct):
Pr (0.0000, 0.0000, 0.0000)
Mn (0.4963, 0.5006, 0.5015)
Mn (0.4963, 0.9948, 0.9957)
Mn (0.7659, 0.2659, 0.5000)
Mn (0.9991, 0.5006, 0.0043)
Mn (0.9991, 0.9948, 0.4985)
Co (0.2265, 0.7265, 0.5000)
Co (0.2296, 0.4954, 0.7342)
Co (0.3557, 0.3557, 0.0000)
Co (0.3591, 0.9995, 0.3596)
Co (0.6361, 0.6361, 0.0000)
Co (0.6398, 0.9995, 0.6404)
Co (0.7612, 0.4954, 0.2658)